HfB2O5: calculated powder X-ray diffraction pattern (copper Kα), based on a PBE-relaxed structure.
Intensities are scaled so that the largest is 100.

The 8 most intense peaks (2θ = 15–90°), by intensity:
2θ (°), I/Imax, hkl
20.33, 100, 1 0 0
27.74, 76, 0 2 1
34.56, 69, 1 2 -1
34.73, 67, 1 2 1
16.23, 65, 0 1 1
23.71, 55, 0 1 2
19.84, 51, 0 0 2
39.05, 40, 1 1 3

Cell and atoms:
```
data_HfB2O5
_space_group_name_H-M_alt 'P 1 21/c 1'
_space_group_IT_number 14
_cell_length_a 4.368
_cell_length_b 6.891
_cell_length_c 8.949
_cell_angle_alpha 90.00
_cell_angle_beta 90.78
_cell_angle_gamma 90.00
loop_
_space_group_symop_operation_xyz
'x,y,z'
'-x,-y,-z'
'-x,y+1/2,-z+1/2'
'x,-y+1/2,z+1/2'
loop_
_atom_site_label
_atom_site_fract_x
_atom_site_fract_y
_atom_site_fract_z
_atom_site_occupancy
Hf1 0.001 0.113 0.171 1
B1 0.464 0.087 0.666 1
B2 0.473 0.728 0.577 1
O1 0.212 0.590 0.822 1
O2 0.231 0.596 0.532 1
O3 0.303 0.155 0.808 1
O4 0.328 0.605 0.150 1
O5 0.345 0.222 0.554 1
```

LiDy5: calculated powder X-ray diffraction pattern (copper Kα), based on a PBE-relaxed structure.
Intensities are scaled so that the largest is 100.

The 8 most intense peaks (2θ = 15–90°), by intensity:
2θ (°), I/Imax, hkl
35.48, 100, 2 0 1
15.72, 90, 1 0 0
31.60, 79, 1 1 1
31.19, 38, 0 0 2
66.00, 27, 2 2 2
35.11, 25, 1 0 2
58.32, 24, 2 0 3
56.54, 21, 2 2 0

Cell and atoms:
```
data_LiDy5
_space_group_name_H-M_alt 'P 6/m m m'
_space_group_IT_number 191
_space_group_name_Hall '-P 6 2'
_cell_length_a 6.5109
_cell_length_b 6.5109
_cell_length_c 5.7347
_cell_angle_alpha 90.00
_cell_angle_beta 90.00
_cell_angle_gamma 120.00
loop_
_atom_site_label
_atom_site_fract_x
_atom_site_fract_y
_atom_site_fract_z
_atom_site_occupancy
Li1 0.0000 0.0000 0.0000 1
Dy1 0.0000 0.5000 0.5000 1
Dy2 0.3333 0.6667 0.0000 1
```